Cs2FeH2Cl5O: simulated X-ray diffraction stick pattern (CuKα), based on a structure optimized by DFT (GGA+U).
No peak broadening, texture or thermal motion is included.

The 10 most intense peaks (10 to 90 degrees two-theta), in order of falling intensity:
(hkl)  2θ/deg  d/Å  Rel. int.
2 0 2  32.3  2.771  100.0
1 3 1  21.8  4.076  95.1
0 4 2  29.4  3.039  62.9
2 4 0  31.0  2.884  57.6
0 0 2  21.6  4.111  34.0
1 3 0  18.9  4.693  32.5
2 0 0  23.7  3.750  27.4
0 8 0  40.0  2.256  24.0
2 8 2  52.3  1.749  22.8
1 3 3  38.0  2.367  20.1

Structural model:
abc: 7.5023 18.0447 8.2218
angles: 90.00 90.00 90.00
Space group Cmcm (No. 63)
Asymmetric unit:
1 Cs 0.0000 0.0274 0.2500 x4
2 Cs 0.0000 0.2506 0.7500 x4
3 Fe 0.0000 0.3823 0.2500 x4
4 H 0.0000 0.4644 0.6530 x8
5 Cl 0.0000 0.2532 0.2500 x4
6 Cl 0.2235 0.3905 0.0404 x16
7 O 0.0000 0.4961 0.7500 x4